The following is a calculated PXRD pattern of Y2TmAlS6. It was derived from a DFT-relaxed cell (GGA-PBE, Alexandria), using Cu Kα.
Peak positions follow from Bragg's law for the DFT cell and can differ from measured ones.

Principal peaks in the range 2θ from 15° to 90°, in order of falling intensity:
index	2θ (°)	I (rel.)
1 0 4	25.29	100
2 -1 6	40.72	92
1 1 0	26.58	84
1 1 3	30.66	68
3 0 0	46.93	60
0 2 4	37.02	59
1 0 1	16.06	53
3 -1 4	46.15	52
0 1 2	18.27	48
2 1 10	67.99	27
0 2 10	61.26	24
1 0 10	54.14	23

Cell and atoms:
```
data_Y2TmAlS6
_cell_length_a 6.7067
_cell_length_b 6.7067
_cell_length_c 17.7118
_cell_angle_alpha 90.00
_cell_angle_beta 90.00
_cell_angle_gamma 120.00
_space_group_name_H-M_alt 'R 3'
_space_group_IT_number 146
_space_group_name_Hall 'R 3'
loop_
_atom_site_label
_atom_site_type_symbol
_atom_site_fract_x
_atom_site_fract_y
_atom_site_fract_z
Y1 Y 0.0000 0.0000 0.0000
Y2 Y 0.0000 0.0000 0.4983
Tm1 Tm 0.0000 0.0000 0.2040
Al1 Al 0.0000 0.0000 0.7009
S1 S 0.0005 0.3763 0.4378
S2 S 0.0575 0.6897 0.2781
```